Structure and computed powder XRD pattern of NaErCu2F8 (a crystal structure in Alexandria, relaxed with GGA-PBE; Cu Kα, 1.54184 Å).
Lines closer than 0.1° are merged.

Cell and atoms:
```
NaErCu2F8
1.0
-2.720 2.720 5.138
2.720 -2.720 5.138
2.720 2.720 -5.138
Na Er Cu F
1 1 2 8
direct
0.000 0.000 0.000
0.500 0.500 0.000
0.250 0.750 0.500
0.750 0.250 0.500
0.071 0.545 0.857
0.215 0.071 0.526
0.312 0.455 0.526
0.455 0.929 0.143
0.545 0.688 0.474
0.688 0.215 0.143
0.785 0.312 0.857
0.929 0.785 0.474
```

Top 10 peaks for 5 to 70 degrees two-theta, by intensity:
2θ 29.00, intensity 100
2θ 18.45, intensity 62
2θ 48.76, intensity 38
2θ 56.41, intensity 31
2θ 47.26, intensity 22
2θ 38.01, intensity 20
2θ 32.93, intensity 18
2θ 45.74, intensity 16
2θ 30.85, intensity 14
2θ 59.04, intensity 13


Structure and computed powder XRD pattern of Pm6TmSc2 (a crystal structure in Alexandria, relaxed with GGA-PBE; Cu Kα, 1.54184 Å).
Lines closer than 0.1° are merged.

Cell and atoms:
```
Pm6TmSc2
1.0
6.800 -6.589 0.000
6.800 6.589 0.000
-1.846 0.000 6.392
Pm Tm Sc
12 2 4
direct
0.037 0.450 0.728
0.113 0.831 0.997
0.169 0.887 0.503
0.289 0.476 0.185
0.450 0.037 0.228
0.476 0.289 0.685
0.524 0.711 0.315
0.550 0.963 0.772
0.711 0.524 0.815
0.831 0.113 0.497
0.887 0.169 0.003
0.963 0.550 0.272
0.362 0.638 0.750
0.638 0.362 0.250
0.162 0.213 0.375
0.213 0.162 0.875
0.787 0.838 0.125
0.838 0.787 0.625
```

Top 10 peaks for 5 to 70 degrees two-theta, by intensity:
2θ 30.53, intensity 100
2θ 30.26, intensity 96
2θ 30.39, intensity 66
2θ 27.67, intensity 49
2θ 33.81, intensity 43
2θ 28.63, intensity 41
2θ 30.68, intensity 31
2θ 58.59, intensity 27
2θ 34.49, intensity 25
2θ 27.07, intensity 21